This entry pairs a crystal structure of PmDyO3 with its computed XRD peak list. Radiation: copper Kα. Structure: a cell relaxed with PBE.
Intensities are scaled so that the largest is 100.

Crystal structure
```
10
Lattice="1.778 -7.140 0.000 1.778 7.140 0.000 0.000 0.000 5.837" Properties=species:S:1:pos:R:3 pbc="T T T"
Pm 1.778 4.546 2.918
Pm 1.778 -4.546 0.000
Dy 1.778 0.632 3.249
Dy 1.778 -0.632 0.330
O 1.778 6.760 1.998
O 1.778 2.635 4.245
O 1.778 1.750 1.293
O 1.778 -1.750 4.211
O 1.778 -2.635 1.327
O 1.778 -6.760 4.916
```

Top 12 peaks for 10° ≤ 2θ ≤ 80°, in order of falling intensity:
d_spacing  I (rel.)
3.045  100
2.971  78
2.039  59
1.694  56
2.849  47
2.918  37
1.536  27
2.228  24
1.708  20
1.778  17
3.451  17
1.232  13

=====

This entry pairs a crystal structure of DySc5Bi4 with its computed XRD peak list. Radiation: copper Kα. Structure: a cell relaxed with PBE.
Intensities are scaled so that the largest is 100.

Crystal structure
```
10
Lattice="4.989 -5.083 0.000 4.989 5.083 0.000 0.000 0.000 5.738" Properties=species:S:1:pos:R:3 pbc="T T T"
Dy 0.000 0.000 0.000
Sc 2.495 2.542 1.432
Sc 2.495 2.542 4.305
Sc 2.495 -2.542 1.432
Sc 2.495 -2.542 4.305
Sc 4.989 0.000 2.869
Bi 1.834 0.000 2.869
Bi 4.989 1.751 0.000
Bi 4.989 -1.751 0.000
Bi 8.144 0.000 2.869
```

Top 12 peaks for 10° ≤ 2θ ≤ 80°, in order of falling intensity:
d_spacing  I (rel.)
3.765  100
2.193  76
3.209  50
3.805  44
2.139  33
2.497  33
2.801  30
2.869  28
2.769  23
1.489  23
3.161  22
2.234  18